(1)
Diffraction record for Cs2NaCdH. The powder X-ray diffraction pattern is theoretical, not measured: it uses a structure optimized by DFT (PBE) and Cu Kα X-rays.
No peak broadening, texture or thermal motion is included.

Structure:
```
data_Cs2NaCdH
_chemical_formula_sum 'Cs2 Na1 Cd1 H1'
_cell_length_a 5.9820
_cell_length_b 5.9820
_cell_length_c 6.0147
_cell_angle_alpha 90.00
_cell_angle_beta 90.00
_cell_angle_gamma 90.00
_symmetry_space_group_name_H-M 'P 4/m m m'
_symmetry_Int_Tables_number 123
_symmetry_space_group_name_Hall '-P 4 2'
loop_
_atom_site_label
_atom_site_type_symbol
_atom_site_fract_x
_atom_site_fract_y
_atom_site_fract_z
Cs1 Cs 0.0000 0.5000 0.0000
Na1 Na 0.0000 0.0000 0.5000
Cd1 Cd 0.5000 0.5000 0.5000
H1 H 0.5000 0.5000 0.0000
```

Most intense lines, 10° ≤ 2θ ≤ 90°, sorted by position:
| d (Å) | I/Imax | h k l |
| --- | --- | --- |
| 5.997 | 19 | 0 0 1 |
| 4.236 | 15 | 1 1 0 |
| 3.460 | 100 | 1 1 1 |
| 3.007 | 18 | 0 0 2 |
| 2.991 | 35 | 2 0 0 |
| 2.121 | 26 | 2 0 2 |
| 1.812 | 15 | 1 1 3 |
| 1.805 | 30 | 3 1 1 |

(2)
Diffraction record for Cs2RbCdH4. The powder X-ray diffraction pattern is theoretical, not measured: it uses a structure optimized by DFT (PBE) and Cu Kα X-rays.
No peak broadening, texture or thermal motion is included.

Structure:
```
data_Cs2RbCdH4
_chemical_formula_sum 'Cs4 Rb2 Cd2 H8'
_cell_length_a 6.8616
_cell_length_b 6.8616
_cell_length_c 8.9736
_cell_angle_alpha 90.00
_cell_angle_beta 90.00
_cell_angle_gamma 90.00
_symmetry_space_group_name_H-M 'I -4'
_symmetry_Int_Tables_number 82
_symmetry_space_group_name_Hall 'I -4'
loop_
_atom_site_label
_atom_site_type_symbol
_atom_site_fract_x
_atom_site_fract_y
_atom_site_fract_z
Cs1 Cs 0.0000 0.0000 0.0000
Cs2 Cs 0.0000 0.5000 0.2500
Rb1 Rb 0.0000 0.0000 0.5000
Cd1 Cd 0.0000 0.5000 0.7500
H1 H 0.1736 0.6968 0.6721
```

Most intense lines, 10° ≤ 2θ ≤ 90°, sorted by position:
| d (Å) | I/Imax | h k l |
| --- | --- | --- |
| 3.431 | 54 | 2 0 0 |
| 3.294 | 100 | 1 1 2 |
| 2.426 | 22 | 2 2 0 |
| 1.953 | 44 | 1 3 2 |
| 1.878 | 20 | 2 0 4 |
| 1.647 | 13 | 2 2 4 |
| 1.289 | 11 | 5 1 2 |
| 1.266 | 11 | 4 2 4 |

(3)
Diffraction record for Cs2CdSnH6. The powder X-ray diffraction pattern is theoretical, not measured: it uses a structure optimized by DFT (PBE) and Cu Kα X-rays.
No peak broadening, texture or thermal motion is included.

Structure:
```
data_Cs2CdSnH6
_chemical_formula_sum 'Cs8 Cd4 Sn4 H24'
_cell_length_a 9.0083
_cell_length_b 9.0226
_cell_length_c 9.2140
_cell_angle_alpha 90.00
_cell_angle_beta 90.00
_cell_angle_gamma 90.00
_symmetry_space_group_name_H-M 'F m m m'
_symmetry_Int_Tables_number 69
_symmetry_space_group_name_Hall '-F 2 2'
loop_
_atom_site_label
_atom_site_type_symbol
_atom_site_fract_x
_atom_site_fract_y
_atom_site_fract_z
Cs1 Cs 0.2500 0.2500 0.2500
Cd1 Cd 0.0000 0.0000 0.0000
Sn1 Sn 0.0000 0.0000 0.5000
H1 H 0.0000 0.0000 0.2909
H2 H 0.0000 0.2131 0.5000
H3 H 0.2134 0.0000 0.5000
```

Most intense lines, 10° ≤ 2θ ≤ 90°, sorted by position:
| d (Å) | I/Imax | h k l |
| --- | --- | --- |
| 3.222 | 100 | 2 0 2 |
| 3.187 | 49 | 2 2 0 |
| 2.254 | 19 | 4 0 0 |
| 1.867 | 21 | 2 2 4 |
| 1.847 | 40 | 4 2 2 |
| 1.611 | 13 | 4 0 4 |
| 1.222 | 11 | 4 2 6 |
| 1.212 | 10 | 6 2 4 |

(4)
Diffraction record for Cs2HfCdS4. The powder X-ray diffraction pattern is theoretical, not measured: it uses a structure optimized by DFT (PBE) and Cu Kα X-rays.
No peak broadening, texture or thermal motion is included.

Structure:
```
data_Cs2HfCdS4
_chemical_formula_sum 'Cs16 Hf8 Cd8 S32'
_cell_length_a 6.2347
_cell_length_b 14.6943
_cell_length_c 25.3356
_cell_angle_alpha 90.00
_cell_angle_beta 90.00
_cell_angle_gamma 90.00
_symmetry_space_group_name_H-M 'F d d d'
_symmetry_Int_Tables_number 70
loop_
_symmetry_equiv_pos_as_xyz
'x,y,z'
'-x,-y,-z'
'-x+1/4,-y+1/4,z'
'x+1/4,y+1/4,-z'
'x,-y+1/4,-z+1/4'
'-x,y+1/4,z+1/4'
'-x+1/4,y,-z+1/4'
'x+1/4,-y,z+1/4'
'x,y+1/2,z+1/2'
'-x,-y+1/2,-z+1/2'
'-x+1/4,-y+3/4,z+1/2'
'x+1/4,y+3/4,-z+1/2'
'x,-y+3/4,-z+3/4'
'-x,y+3/4,z+3/4'
'-x+1/4,y+1/2,-z+3/4'
'x+1/4,-y+1/2,z+3/4'
'x+1/2,y,z+1/2'
'-x+1/2,-y,-z+1/2'
'-x+3/4,-y+1/4,z+1/2'
'x+3/4,y+1/4,-z+1/2'
'x+1/2,-y+1/4,-z+3/4'
'-x+1/2,y+1/4,z+3/4'
'-x+3/4,y,-z+3/4'
'x+3/4,-y,z+3/4'
'x+1/2,y+1/2,z'
'-x+1/2,-y+1/2,-z'
'-x+3/4,-y+3/4,z'
'x+3/4,y+3/4,-z'
'x+1/2,-y+3/4,-z+1/4'
'-x+1/2,y+3/4,z+1/4'
'-x+3/4,y+1/2,-z+1/4'
'x+3/4,-y+1/2,z+1/4'
loop_
_atom_site_label
_atom_site_type_symbol
_atom_site_fract_x
_atom_site_fract_y
_atom_site_fract_z
Cs1 Cs 0.1250 0.1250 0.3033
Hf1 Hf 0.1250 0.1250 0.1250
Cd1 Cd 0.1250 0.1250 0.6250
S1 S 0.1018 0.2798 0.4279
```

Most intense lines, 10° ≤ 2θ ≤ 90°, sorted by position:
| d (Å) | I/Imax | h k l |
| --- | --- | --- |
| 6.344 | 65 | 0 0 4 |
| 3.804 | 24 | 1 3 1 |
| 3.665 | 100 | 0 2 6 |
| 3.504 | 24 | 1 3 3 |
| 3.066 | 30 | 1 3 5 |
| 2.870 | 38 | 2 2 0 |
| 2.508 | 34 | 2 0 6 |
| 2.071 | 28 | 2 4 6 |

(5)
Diffraction record for CsCd3Hg6. The powder X-ray diffraction pattern is theoretical, not measured: it uses a structure optimized by DFT (PBE) and Cu Kα X-rays.
No peak broadening, texture or thermal motion is included.

Structure:
```
data_CsCd3Hg6
_chemical_formula_sum 'Cs1 Cd3 Hg6'
_cell_length_a 6.0416
_cell_length_b 7.2798
_cell_length_c 7.8109
_cell_angle_alpha 65.18
_cell_angle_beta 79.20
_cell_angle_gamma 79.16
_symmetry_space_group_name_H-M 'P 1'
_symmetry_Int_Tables_number 1
_symmetry_space_group_name_Hall 'P 1'
loop_
_atom_site_label
_atom_site_type_symbol
_atom_site_fract_x
_atom_site_fract_y
_atom_site_fract_z
Cs1 Cs 0.0000 0.0000 0.0000
Cd1 Cd 0.1817 0.6745 0.6816
Cd2 Cd 0.3944 0.4224 0.0435
Cd3 Cd 0.6275 0.7817 0.7460
Hg1 Hg 0.4469 0.6327 0.3058
Hg2 Hg 0.4706 0.0352 0.3618
Hg3 Hg 0.4981 0.2477 0.7094
Hg4 Hg 0.8780 0.4770 0.0877
Hg5 Hg 0.9279 0.5056 0.4957
Hg6 Hg 0.9417 0.0961 0.4588
```

Most intense lines, 10° ≤ 2θ ≤ 90°, sorted by position:
| d (Å) | I/Imax | h k l |
| --- | --- | --- |
| 3.197 | 61 | 1 0 2 |
| 3.090 | 100 | 0 2 2 |
| 2.945 | 71 | 2 0 0 |
| 2.871 | 47 | 1 0 -2 |
| 2.603 | 88 | 0 2 -1 |
| 2.516 | 49 | -1 2 2 |
| 2.418 | 47 | 2 2 2 |
| 2.346 | 46 | 0 0 3 |

(6)
Diffraction record for Cs5CdHg4. The powder X-ray diffraction pattern is theoretical, not measured: it uses a structure optimized by DFT (PBE) and Cu Kα X-rays.
No peak broadening, texture or thermal motion is included.

Structure:
```
data_Cs5CdHg4
_chemical_formula_sum 'Cs10 Cd2 Hg8'
_cell_length_a 24.1445
_cell_length_b 5.1763
_cell_length_c 9.7080
_cell_angle_alpha 90.00
_cell_angle_beta 113.29
_cell_angle_gamma 90.00
_symmetry_space_group_name_H-M 'C 1 2/m 1'
_symmetry_Int_Tables_number 12
_symmetry_space_group_name_Hall '-C 2y'
loop_
_atom_site_label
_atom_site_type_symbol
_atom_site_fract_x
_atom_site_fract_y
_atom_site_fract_z
Cs1 Cs 0.0000 0.0000 0.0000
Cs2 Cs 0.1318 0.5000 0.7552
Cs3 Cs 0.1971 0.5000 0.2856
Cd1 Cd 0.0000 0.0000 0.5000
Hg1 Hg 0.0388 0.5000 0.3491
Hg2 Hg 0.1225 0.0000 0.4450
```

Most intense lines, 10° ≤ 2θ ≤ 90°, sorted by position:
| d (Å) | I/Imax | h k l |
| --- | --- | --- |
| 4.218 | 54 | 3 1 -1 |
| 3.665 | 43 | 2 0 2 |
| 3.499 | 85 | 1 1 -2 |
| 3.201 | 100 | 1 1 2 |
| 2.878 | 65 | 5 1 1 |
| 2.868 | 64 | 7 1 -1 |
| 2.760 | 69 | 7 1 -2 |
| 2.588 | 56 | 0 2 0 |